The following is a computed X-ray diffraction stick pattern of MnCuSbO6. It was derived from a cell relaxed with PBE+U, using a wavelength of 1.5418 Å.
No peak broadening, texture or thermal motion is included.

Most intense lines, 5 to 70 degrees two-theta, most intense first:
Position (°2θ)  d_spacing  Rel. int.
27.4  3.250  100.0
35.3  2.541  67.6
53.8  1.705  62.3
68.5  1.369  19.6
39.2  2.298  16.9
21.6  4.107  16.9
56.6  1.625  15.8
67.9  1.381  13.4
64.1  1.453  12.1
60.7  1.525  7.8

Atomic structure:
Unit cell a=4.596 b=4.596 c=9.151 alpha=90.00 beta=90.00 gamma=90.00
Space group P4_2nm (No. 102)
Symmetry-distinct sites (fractional):
Mn 0.000 0.000 0.000 x2
Cu 0.000 0.000 0.667 x2
Sb 0.000 0.000 0.335 x2
O 0.189 0.189 0.838 x4
O 0.191 0.191 0.163 x4
O 0.199 0.199 0.502 x4